Simulated powder diffraction line list of Zr4PbC2Se for Cu Ka, from a GGA-PBE-relaxed structure.

Unit cell a=3.448 b=3.448 c=13.805 alpha=90.00 beta=90.00 gamma=120.00
Fractional positions:
Zr 0.000 0.000 0.142
Zr 0.000 0.000 0.858
Zr 0.667 0.333 0.319
Zr 0.667 0.333 0.681
Pb 0.000 0.000 0.500
C 0.333 0.667 0.231
C 0.333 0.667 0.769
Se 0.667 0.333 0.000

Principal peaks in the range 5° ≤ 2θ ≤ 70°, most intense first:
2θ/deg	intensity
35.85	100
29.93	28
53.13	25
32.68	17
65.76	17
67.94	15
6.40	15
62.14	14



Simulated powder diffraction line list of BaCdPdO3 for Cu Ka, from a GGA-PBE-relaxed structure.

Unit cell a=6.510 b=6.510 c=6.510 alpha=148.32 beta=140.22 gamma=51.73
Fractional positions:
Ba 0.000 0.000 0.000
Cd 0.305 0.305 0.000
Pd 0.676 0.676 0.000
O 0.179 0.679 0.500
O 0.498 0.498 0.000
O 0.804 0.304 0.500

Principal peaks in the range 5° ≤ 2θ ≤ 70°, most intense first:
2θ/deg	intensity
32.29	100
30.51	96
34.11	95
54.15	49
40.73	37
60.98	27
57.75	27
46.49	22



Simulated powder diffraction line list of Zn2Sn2Sb3N for Cu Ka, from a GGA-PBE-relaxed structure.

Unit cell a=7.178 b=7.178 c=5.975 alpha=113.67 beta=113.67 gamma=50.06
Fractional positions:
Zn 0.101 0.101 0.288
Zn 0.899 0.899 0.712
Sn 0.489 0.284 0.099
Sn 0.716 0.511 0.901
Sb 0.061 0.447 0.709
Sb 0.288 0.712 0.500
Sb 0.553 0.939 0.291
N 0.802 0.198 0.000

Principal peaks in the range 5° ≤ 2θ ≤ 70°, most intense first:
2θ/deg	intensity
25.74	100
26.07	81
42.99	56
42.45	33
34.45	25
33.94	20
43.78	18
27.61	15